Calculated powder X-ray diffraction pattern
Compound: Fe3Sb2Br4O4
Radiation: Cu Kα X-rays
Structure: the GGA+U geometry in Alexandria
Kinematic intensities with the Lorentz-polarization factor, no thermal factor.

Peak list (8 most intense, 10 to 90 degrees two-theta, by angle)
13.5°, I = 88, (0 0 1); 22.5°, I = 75, (0 3 1); 27.0°, I = 40, (1 2 1); 27.6°, I = 100, (2 0 -1); 30.2°, I = 66, (1 3 1); 30.9°, I = 38, (1 3 -2); 36.5°, I = 38, (0 4 2); 39.8°, I = 36, (2 0 -3)

```
data_Fe3Sb2Br4O4
_chemical_formula_sum 'Fe6 Sb4 Br8 O8'
_space_group_name_H-M_alt 'P 1 21 1'
_space_group_IT_number 4
_cell_length_a 6.4689
_cell_length_b 14.8784
_cell_length_c 7.2197
_cell_angle_alpha 90.00
_cell_angle_beta 114.68
_cell_angle_gamma 90.00
loop_
_space_group_symop_operation_xyz
'x,y,z'
'-x,y+1/2,-z'
loop_
_atom_site_label
_atom_site_fract_x
_atom_site_fract_y
_atom_site_fract_z
Fe1 0.0123 0.0000 0.4932
Fe2 0.2496 0.7558 0.4999
Fe3 0.4875 0.5116 0.5062
Sb1 0.1676 0.1977 0.2893
Sb2 0.3330 0.3140 0.7108
Br1 0.0616 0.8730 0.1850
Br2 0.1193 0.5967 0.2570
Br3 0.3803 0.9149 0.7429
Br4 0.4374 0.6386 0.8149
O1 0.0525 0.2554 0.4913
O2 0.2224 0.0795 0.4283
O3 0.2778 0.4321 0.5715
O4 0.4482 0.2562 0.5088
```